# 1
# KU2P3O12
Calculated X-ray powder pattern, Cu Ka. Input: a structure optimized by DFT (PBE).

Principal peaks in the range 2θ = 10–90°, by angle:
hkl  d [Å]  I (rel.)
1 0 4  4.941  62
1 1 0  4.618  100
0 2 4  3.374  34
1 1 6  3.102  80
2 1 4  2.724  24
3 0 0  2.666  35
2 2 6  2.022  27
2 1 10  1.933  24

a b c (Å): 9.2363 9.2363 25.1296
angles (deg): 90.00 90.00 120.00
Space group R-3c (No. 167, hexagonal axes)
Unique sites:
K (0.0000, 0.0000, 0.0000) x6
U (0.0000, 0.0000, 0.1503) x12
P (0.0000, 0.2938, 0.2500) x18
O (0.0206, 0.1984, 0.9073) x36
O (0.0317, 0.2143, 0.2002) x36

# 2
# KYP4O12
Calculated X-ray powder pattern, Cu Ka. Input: a structure optimized by DFT (PBE).

Principal peaks in the range 2θ = 10–90°, by angle:
hkl  d [Å]  I (rel.)
0 2 1  5.290  58
1 1 -2  4.656  38
1 1 2  3.423  94
1 3 1  3.235  30
1 3 -2  3.210  100
2 2 0  3.188  37
2 4 0  2.392  37
2 6 -1  1.849  32

a b c (Å): 7.932 12.536 10.560
angles (deg): 90.00 110.97 90.00
Space group C2/c (No. 15)
Unique sites:
K (0.000, 0.185, 0.250) x4
Y (0.000, 0.120, 0.750) x4
P (0.044, 0.330, 0.997) x8
P (0.221, 0.476, 0.443) x8
O (0.053, 0.244, 0.603) x8
O (0.071, 0.430, 0.911) x8
O (0.099, 0.371, 0.436) x8
O (0.147, 0.011, 0.415) x8
O (0.211, 0.302, 0.114) x8
O (0.216, 0.031, 0.674) x8